Entry 1:
# Nb2NiPt3
Calculated X-ray powder pattern, Cu Kα X-rays. Input: a PBE-relaxed structure.
Kinematic intensities with the Lorentz-polarization factor, no thermal factor.

Most intense lines, 10 to 90 degrees two-theta, low angle first:
33.0°, intensity 250
34.0°, intensity 166
35.1°, intensity 114
39.7°, intensity 1000
40.1°, intensity 377
40.6°, intensity 388
41.1°, intensity 336
41.9°, intensity 519
52.3°, intensity 145
57.1°, intensity 129
59.0°, intensity 117
82.4°, intensity 134

```
data_Nb2NiPt3
_chemical_formula_sum 'Nb4 Ni2 Pt6'
_cell_length_a 5.2862
_cell_length_b 5.2862
_cell_length_c 6.9886
_cell_angle_alpha 98.49
_cell_angle_beta 98.49
_cell_angle_gamma 98.62
_symmetry_space_group_name_H-M 'P 1'
_symmetry_Int_Tables_number 1
loop_
_symmetry_equiv_pos_as_xyz
'x,y,z'
loop_
_atom_site_label
_atom_site_fract_x
_atom_site_fract_y
_atom_site_fract_z
_atom_site_occupancy
Nb1 0.1048 0.6352 0.8721 1
Nb2 0.3648 0.8952 0.6279 1
Nb3 0.6352 0.1048 0.3721 1
Nb4 0.8952 0.3648 0.1279 1
Ni1 0.3885 0.6115 0.2500 1
Ni2 0.6115 0.3885 0.7500 1
Pt1 0.0770 0.9230 0.2500 1
Pt2 0.2008 0.3665 0.5149 1
Pt3 0.3665 0.2008 0.0149 1
Pt4 0.6335 0.7992 0.9851 1
Pt5 0.7992 0.6335 0.4851 1
Pt6 0.9230 0.0770 0.7500 1
```

***

Entry 2:
# NbNi3Pt3
Calculated X-ray powder pattern, Cu Kα X-rays. Input: a PBE-relaxed structure.
Kinematic intensities with the Lorentz-polarization factor, no thermal factor.

Most intense lines, 10 to 90 degrees two-theta, low angle first:
20.6°, intensity 378
29.4°, intensity 754
36.2°, intensity 345
38.2°, intensity 1000
40.1°, intensity 721
43.8°, intensity 864
45.5°, intensity 919
50.5°, intensity 340
56.6°, intensity 366
72.9°, intensity 289
74.2°, intensity 285
79.2°, intensity 475

```
data_NbNi3Pt3
_chemical_formula_sum 'Nb4 Ni12 Pt12'
_cell_length_a 7.4529
_cell_length_b 7.4529
_cell_length_c 7.4529
_cell_angle_alpha 90.00
_cell_angle_beta 90.00
_cell_angle_gamma 90.00
_symmetry_space_group_name_H-M 'P 1'
_symmetry_Int_Tables_number 1
loop_
_symmetry_equiv_pos_as_xyz
'x,y,z'
loop_
_atom_site_label
_atom_site_fract_x
_atom_site_fract_y
_atom_site_fract_z
_atom_site_occupancy
Nb1 0.0937 0.4063 0.5937 1
Nb2 0.4063 0.5937 0.0937 1
Nb3 0.5937 0.0937 0.4063 1
Nb4 0.9063 0.9063 0.9063 1
Ni1 0.0878 0.5878 0.9122 1
Ni2 0.1053 0.8947 0.3947 1
Ni3 0.2208 0.2208 0.2208 1
Ni4 0.2792 0.7792 0.7208 1
Ni5 0.3947 0.1053 0.8947 1
Ni6 0.4122 0.4122 0.4122 1
Ni7 0.5878 0.9122 0.0878 1
Ni8 0.6053 0.6053 0.6053 1
Ni9 0.7208 0.2792 0.7792 1
Ni10 0.7792 0.7208 0.2792 1
Ni11 0.8947 0.3947 0.1053 1
Ni12 0.9122 0.0878 0.5878 1
Pt1 0.0730 0.2170 0.8912 1
Pt2 0.1088 0.5730 0.2830 1
Pt3 0.2170 0.8912 0.0730 1
Pt4 0.2830 0.1088 0.5730 1
Pt5 0.3912 0.4270 0.7830 1
Pt6 0.4270 0.7830 0.3912 1
Pt7 0.5730 0.2830 0.1088 1
Pt8 0.6088 0.9270 0.7170 1
Pt9 0.7170 0.6088 0.9270 1
Pt10 0.7830 0.3912 0.4270 1
Pt11 0.8912 0.0730 0.2170 1
Pt12 0.9270 0.7170 0.6088 1
```

***

Entry 3:
# Nb2Ni3Pt
Calculated X-ray powder pattern, Cu Kα X-rays. Input: a PBE-relaxed structure.
Kinematic intensities with the Lorentz-polarization factor, no thermal factor.

Most intense lines, 10 to 90 degrees two-theta, low angle first:
33.9°, intensity 224
34.1°, intensity 187
38.8°, intensity 160
40.7°, intensity 1000
41.2°, intensity 967
44.8°, intensity 413
45.3°, intensity 416
52.5°, intensity 162
65.6°, intensity 256
71.8°, intensity 128
80.4°, intensity 250
80.7°, intensity 128

```
data_Nb2Ni3Pt
_chemical_formula_sum 'Nb4 Ni6 Pt2'
_cell_length_a 6.3956
_cell_length_b 6.3956
_cell_length_c 8.1125
_cell_angle_alpha 119.11
_cell_angle_beta 119.11
_cell_angle_gamma 36.52
_symmetry_space_group_name_H-M 'P 1'
_symmetry_Int_Tables_number 1
loop_
_symmetry_equiv_pos_as_xyz
'x,y,z'
loop_
_atom_site_label
_atom_site_fract_x
_atom_site_fract_y
_atom_site_fract_z
_atom_site_occupancy
Nb1 0.0204 0.0204 0.3341 1
Nb2 0.2934 0.2934 0.6526 1
Nb3 0.7066 0.7066 0.3474 1
Nb4 0.9796 0.9796 0.6659 1
Ni1 0.1192 0.1192 0.1109 1
Ni2 0.2208 0.2208 0.9042 1
Ni3 0.4610 0.4610 0.1127 1
Ni4 0.5390 0.5390 0.8873 1
Ni5 0.7792 0.7792 0.0958 1
Ni6 0.8808 0.8808 0.8891 1
Pt1 0.3691 0.3691 0.3512 1
Pt2 0.6309 0.6309 0.6488 1
```

***

Entry 4:
# Nb2Ni5Pt
Calculated X-ray powder pattern, Cu Kα X-rays. Input: a PBE-relaxed structure.
Kinematic intensities with the Lorentz-polarization factor, no thermal factor.

Most intense lines, 10 to 90 degrees two-theta, low angle first:
20.5°, intensity 191
24.3°, intensity 72
33.3°, intensity 64
39.4°, intensity 75
40.5°, intensity 35
41.7°, intensity 1000
47.9°, intensity 331
49.7°, intensity 148
70.0°, intensity 101
71.5°, intensity 190
84.9°, intensity 238
87.6°, intensity 111

```
data_Nb2Ni5Pt
_chemical_formula_sum 'Nb2 Ni5 Pt1'
_cell_length_a 5.2833
_cell_length_b 5.2833
_cell_length_c 5.2833
_cell_angle_alpha 118.84
_cell_angle_beta 118.84
_cell_angle_gamma 92.02
_symmetry_space_group_name_H-M 'P 1'
_symmetry_Int_Tables_number 1
loop_
_symmetry_equiv_pos_as_xyz
'x,y,z'
loop_
_atom_site_label
_atom_site_fract_x
_atom_site_fract_y
_atom_site_fract_z
_atom_site_occupancy
Nb1 0.0000 0.5000 0.5000 1
Nb2 0.5000 0.0000 0.5000 1
Ni1 0.0000 0.0000 0.0000 1
Ni2 0.0000 0.0000 0.5000 1
Ni3 0.0000 0.5000 0.0000 1
Ni4 0.5000 0.0000 0.0000 1
Ni5 0.5000 0.5000 0.5000 1
Pt1 0.5000 0.5000 0.0000 1
```

***

Entry 5:
# Nb6Ni12Pt
Calculated X-ray powder pattern, Cu Kα X-rays. Input: a PBE-relaxed structure.
Kinematic intensities with the Lorentz-polarization factor, no thermal factor.

Most intense lines, 10 to 90 degrees two-theta, low angle first:
26.7°, intensity 485
31.4°, intensity 513
34.9°, intensity 781
39.3°, intensity 821
40.8°, intensity 257
41.6°, intensity 499
45.5°, intensity 230
46.8°, intensity 1000
50.4°, intensity 400
52.0°, intensity 354
52.3°, intensity 417
70.4°, intensity 199

```
data_Nb6Ni12Pt
_chemical_formula_sum 'Nb6 Ni12 Pt1'
_cell_length_a 7.0460
_cell_length_b 7.0460
_cell_length_c 7.0460
_cell_angle_alpha 108.07
_cell_angle_beta 108.07
_cell_angle_gamma 108.07
_symmetry_space_group_name_H-M 'P 1'
_symmetry_Int_Tables_number 1
loop_
_symmetry_equiv_pos_as_xyz
'x,y,z'
loop_
_atom_site_label
_atom_site_fract_x
_atom_site_fract_y
_atom_site_fract_z
_atom_site_occupancy
Nb1 0.2534 0.6894 0.6894 1
Nb2 0.3106 0.3106 0.7466 1
Nb3 0.3106 0.7466 0.3106 1
Nb4 0.6894 0.2534 0.6894 1
Nb5 0.6894 0.6894 0.2534 1
Nb6 0.7466 0.3106 0.3106 1
Ni1 0.1079 0.5000 0.8921 1
Ni2 0.1079 0.8921 0.5000 1
Ni3 0.1380 0.3538 0.3538 1
Ni4 0.3538 0.1380 0.3538 1
Ni5 0.3538 0.3538 0.1380 1
Ni6 0.5000 0.1079 0.8921 1
Ni7 0.5000 0.8921 0.1079 1
Ni8 0.6462 0.6462 0.8620 1
Ni9 0.6462 0.8620 0.6462 1
Ni10 0.8620 0.6462 0.6462 1
Ni11 0.8921 0.1079 0.5000 1
Ni12 0.8921 0.5000 0.1079 1
Pt1 0.0000 0.0000 0.0000 1
```

***

Entry 6:
# NbNiPt6
Calculated X-ray powder pattern, Cu Kα X-rays. Input: a PBE-relaxed structure.
Kinematic intensities with the Lorentz-polarization factor, no thermal factor.

Most intense lines, 10 to 90 degrees two-theta, low angle first:
39.5°, intensity 1000
39.6°, intensity 994
45.9°, intensity 654
46.2°, intensity 323
66.7°, intensity 107
67.1°, intensity 529
80.4°, intensity 254
80.7°, intensity 255
80.9°, intensity 127
81.0°, intensity 127
84.9°, intensity 112
85.3°, intensity 113

```
data_NbNiPt6
_chemical_formula_sum 'Nb1 Ni1 Pt6'
_cell_length_a 6.8515
_cell_length_b 6.2651
_cell_length_c 4.8215
_cell_angle_alpha 75.08
_cell_angle_beta 62.08
_cell_angle_gamma 42.84
_symmetry_space_group_name_H-M 'P 1'
_symmetry_Int_Tables_number 1
loop_
_symmetry_equiv_pos_as_xyz
'x,y,z'
loop_
_atom_site_label
_atom_site_fract_x
_atom_site_fract_y
_atom_site_fract_z
_atom_site_occupancy
Nb1 0.0000 0.0000 0.0000 1
Ni1 0.5000 0.5000 0.5000 1
Pt1 0.1216 0.1216 0.3784 1
Pt2 0.2516 0.2516 0.7484 1
Pt3 0.3784 0.3784 0.1216 1
Pt4 0.6216 0.6216 0.8784 1
Pt5 0.7484 0.7484 0.2516 1
Pt6 0.8784 0.8784 0.6216 1
```

***

Entry 7:
# NbNi2Pt4
Calculated X-ray powder pattern, Cu Kα X-rays. Input: a PBE-relaxed structure.
Kinematic intensities with the Lorentz-polarization factor, no thermal factor.

Most intense lines, 10 to 90 degrees two-theta, low angle first:
19.4°, intensity 465
19.8°, intensity 888
34.4°, intensity 623
38.3°, intensity 456
38.8°, intensity 741
39.4°, intensity 404
39.8°, intensity 791
40.0°, intensity 751
43.4°, intensity 617
43.6°, intensity 601
44.0°, intensity 730
44.8°, intensity 1000

```
data_NbNi2Pt4
_chemical_formula_sum 'Nb1 Ni2 Pt4'
_cell_length_a 4.6417
_cell_length_b 5.2102
_cell_length_c 5.2230
_cell_angle_alpha 118.71
_cell_angle_beta 91.29
_cell_angle_gamma 91.14
_symmetry_space_group_name_H-M 'P 1'
_symmetry_Int_Tables_number 1
loop_
_symmetry_equiv_pos_as_xyz
'x,y,z'
loop_
_atom_site_label
_atom_site_fract_x
_atom_site_fract_y
_atom_site_fract_z
_atom_site_occupancy
Nb1 0.0000 0.0000 0.0000 1
Ni1 0.2537 0.5775 0.5800 1
Ni2 0.7463 0.4225 0.4200 1
Pt1 0.0000 0.0000 0.5000 1
Pt2 0.0000 0.5000 0.0000 1
Pt3 0.4999 0.1662 0.8325 1
Pt4 0.5001 0.8338 0.1675 1
```

***

Entry 8:
# NbNi7Pt4
Calculated X-ray powder pattern, Cu Kα X-rays. Input: a PBE-relaxed structure.
Kinematic intensities with the Lorentz-polarization factor, no thermal factor.

Most intense lines, 10 to 90 degrees two-theta, low angle first:
21.5°, intensity 318
23.4°, intensity 344
32.3°, intensity 229
41.3°, intensity 985
41.6°, intensity 942
41.8°, intensity 951
42.2°, intensity 1000
48.1°, intensity 624
48.4°, intensity 622
49.3°, intensity 575
85.2°, intensity 229
86.1°, intensity 234

```
data_NbNi7Pt4
_chemical_formula_sum 'Nb1 Ni7 Pt4'
_cell_length_a 5.2716
_cell_length_b 5.8645
_cell_length_c 5.9524
_cell_angle_alpha 73.18
_cell_angle_beta 78.61
_cell_angle_gamma 64.26
_symmetry_space_group_name_H-M 'P 1'
_symmetry_Int_Tables_number 1
loop_
_symmetry_equiv_pos_as_xyz
'x,y,z'
loop_
_atom_site_label
_atom_site_fract_x
_atom_site_fract_y
_atom_site_fract_z
_atom_site_occupancy
Nb1 0.0000 0.0000 0.0000 1
Ni1 0.0915 0.1618 0.3294 1
Ni2 0.2542 0.4979 0.0029 1
Ni3 0.3347 0.6745 0.3212 1
Ni4 0.5000 0.0000 0.0000 1
Ni5 0.6653 0.3255 0.6788 1
Ni6 0.7458 0.5021 0.9971 1
Ni7 0.9085 0.8382 0.6706 1
Pt1 0.1615 0.3457 0.6797 1
Pt2 0.4147 0.8221 0.6700 1
Pt3 0.5853 0.1779 0.3300 1
Pt4 0.8385 0.6543 0.3203 1
```

***

Entry 9:
# Nb2NiPt2
Calculated X-ray powder pattern, Cu Kα X-rays. Input: a PBE-relaxed structure.
Kinematic intensities with the Lorentz-polarization factor, no thermal factor.

Most intense lines, 10 to 90 degrees two-theta, low angle first:
19.8°, intensity 183
27.1°, intensity 312
39.0°, intensity 1000
39.5°, intensity 986
44.7°, intensity 342
44.9°, intensity 323
47.3°, intensity 298
67.2°, intensity 202
67.3°, intensity 191
78.3°, intensity 121
79.2°, intensity 124
82.7°, intensity 115

```
data_Nb2NiPt2
_chemical_formula_sum 'Nb2 Ni1 Pt2'
_cell_length_a 4.8888
_cell_length_b 4.8888
_cell_length_c 6.3559
_cell_angle_alpha 129.94
_cell_angle_beta 129.94
_cell_angle_gamma 46.28
_symmetry_space_group_name_H-M 'P 1'
_symmetry_Int_Tables_number 1
loop_
_symmetry_equiv_pos_as_xyz
'x,y,z'
loop_
_atom_site_label
_atom_site_fract_x
_atom_site_fract_y
_atom_site_fract_z
_atom_site_occupancy
Nb1 0.0822 0.0822 0.3636 1
Nb2 0.9178 0.9178 0.6364 1
Ni1 0.5000 0.5000 0.0000 1
Pt1 0.2957 0.2957 0.2047 1
Pt2 0.7043 0.7043 0.7953 1
```

***

Entry 10:
# NbNi2Pt2Rh2
Calculated X-ray powder pattern, Cu Kα X-rays. Input: a PBE-relaxed structure.
Kinematic intensities with the Lorentz-polarization factor, no thermal factor.

Most intense lines, 10 to 90 degrees two-theta, low angle first:
14.5°, intensity 301
34.0°, intensity 331
38.7°, intensity 475
40.0°, intensity 795
40.1°, intensity 1000
41.1°, intensity 932
41.6°, intensity 449
42.6°, intensity 446
45.4°, intensity 650
53.5°, intensity 317
83.6°, intensity 266
86.6°, intensity 297

```
data_NbNi2Pt2Rh2
_chemical_formula_sum 'Nb1 Ni2 Pt2 Rh2'
_cell_length_a 6.2565
_cell_length_b 6.2565
_cell_length_c 6.9348
_cell_angle_alpha 117.24
_cell_angle_beta 117.24
_cell_angle_gamma 25.10
_symmetry_space_group_name_H-M 'P 1'
_symmetry_Int_Tables_number 1
loop_
_symmetry_equiv_pos_as_xyz
'x,y,z'
loop_
_atom_site_label
_atom_site_fract_x
_atom_site_fract_y
_atom_site_fract_z
_atom_site_occupancy
Nb1 0.0000 0.0000 0.0000 1
Ni1 0.2997 0.2997 0.7379 1
Ni2 0.7003 0.7003 0.2621 1
Pt1 0.0827 0.0827 0.4292 1
Pt2 0.9173 0.9173 0.5708 1
Rh1 0.3528 0.3528 0.1485 1
Rh2 0.6472 0.6472 0.8515 1
```

***

Entry 11:
# PuNbNi2
Calculated X-ray powder pattern, Cu Kα X-rays. Input: a PBE-relaxed structure.
Kinematic intensities with the Lorentz-polarization factor, no thermal factor.

Most intense lines, 10 to 90 degrees two-theta, low angle first:
12.8°, intensity 139
25.9°, intensity 206
28.4°, intensity 241
31.3°, intensity 323
38.8°, intensity 1000
40.7°, intensity 506
48.8°, intensity 155
57.8°, intensity 110
58.8°, intensity 169
61.4°, intensity 140
69.0°, intensity 124
72.7°, intensity 311

```
data_PuNbNi2
_chemical_formula_sum 'Pu1 Nb1 Ni2'
_cell_length_a 3.1386
_cell_length_b 3.1386
_cell_length_c 6.8930
_cell_angle_alpha 90.00
_cell_angle_beta 90.00
_cell_angle_gamma 90.00
_symmetry_space_group_name_H-M 'P 1'
_symmetry_Int_Tables_number 1
loop_
_symmetry_equiv_pos_as_xyz
'x,y,z'
loop_
_atom_site_label
_atom_site_fract_x
_atom_site_fract_y
_atom_site_fract_z
_atom_site_occupancy
Pu1 0.0000 0.0000 0.0000 1
Nb1 0.0000 0.0000 0.5000 1
Ni1 0.5000 0.5000 0.3066 1
Ni2 0.5000 0.5000 0.6934 1
```

***

Entry 12:
# Pu3NbNi8
Calculated X-ray powder pattern, Cu Kα X-rays. Input: a PBE-relaxed structure.
Kinematic intensities with the Lorentz-polarization factor, no thermal factor.

Most intense lines, 10 to 90 degrees two-theta, low angle first:
10.9°, intensity 42
21.9°, intensity 261
36.1°, intensity 729
42.6°, intensity 1000
44.6°, intensity 120
64.8°, intensity 69
64.9°, intensity 205
69.3°, intensity 75
69.4°, intensity 231
76.5°, intensity 106
76.6°, intensity 109
87.7°, intensity 127

```
data_Pu3NbNi8
_chemical_formula_sum 'Pu3 Nb1 Ni8'
_cell_length_a 8.6332
_cell_length_b 8.6332
_cell_length_c 8.6332
_cell_angle_alpha 33.49
_cell_angle_beta 33.49
_cell_angle_gamma 33.49
_symmetry_space_group_name_H-M 'P 1'
_symmetry_Int_Tables_number 1
loop_
_symmetry_equiv_pos_as_xyz
'x,y,z'
loop_
_atom_site_label
_atom_site_fract_x
_atom_site_fract_y
_atom_site_fract_z
_atom_site_occupancy
Pu1 0.0000 0.0000 0.0000 1
Pu2 0.1253 0.1253 0.1253 1
Pu3 0.6263 0.6263 0.6263 1
Nb1 0.5027 0.5027 0.5027 1
Ni1 0.0616 0.0616 0.5570 1
Ni2 0.0616 0.5570 0.0616 1
Ni3 0.0698 0.5639 0.5639 1
Ni4 0.3130 0.3130 0.3130 1
Ni5 0.5570 0.0616 0.0616 1
Ni6 0.5639 0.0698 0.5639 1
Ni7 0.5639 0.5639 0.0698 1
Ni8 0.8130 0.8130 0.8130 1
```

***

Entry 13:
# Nb3NiRh6
Calculated X-ray powder pattern, Cu Kα X-rays. Input: a PBE-relaxed structure.
Kinematic intensities with the Lorentz-polarization factor, no thermal factor.

Most intense lines, 10 to 90 degrees two-theta, low angle first:
24.7°, intensity 236
34.0°, intensity 251
37.1°, intensity 285
37.7°, intensity 222
39.3°, intensity 295
39.7°, intensity 536
39.9°, intensity 1000
40.1°, intensity 232
42.5°, intensity 267
42.9°, intensity 295
47.0°, intensity 367
50.6°, intensity 213

```
data_Nb3NiRh6
_chemical_formula_sum 'Nb3 Ni1 Rh6'
_cell_length_a 5.2929
_cell_length_b 5.2929
_cell_length_c 7.7859
_cell_angle_alpha 115.28
_cell_angle_beta 115.28
_cell_angle_gamma 58.77
_symmetry_space_group_name_H-M 'P 1'
_symmetry_Int_Tables_number 1
loop_
_symmetry_equiv_pos_as_xyz
'x,y,z'
loop_
_atom_site_label
_atom_site_fract_x
_atom_site_fract_y
_atom_site_fract_z
_atom_site_occupancy
Nb1 0.0000 0.0000 0.0000 1
Nb2 0.1579 0.1579 0.7213 1
Nb3 0.8421 0.8421 0.2787 1
Ni1 0.5000 0.5000 0.5000 1
Rh1 0.1313 0.6318 0.6713 1
Rh2 0.3221 0.3221 0.0971 1
Rh3 0.3682 0.8687 0.3287 1
Rh4 0.6318 0.1313 0.6713 1
Rh5 0.6779 0.6779 0.9029 1
Rh6 0.8687 0.3682 0.3287 1
```